# NaLaMgWO6
Computed X-ray powder pattern, Cu Kα, 1.54184 Å. Input: a crystal structure in Alexandria, relaxed with GGA+U.
No peak broadening, texture or thermal motion is included.

```
data_NaLaMgWO6
_cell_length_a 7.8829
_cell_length_b 7.9653
_cell_length_c 7.9572
_cell_angle_alpha 90.00
_cell_angle_beta 90.07
_cell_angle_gamma 90.00
_space_group_name_H-M_alt 'C 1 2/m 1'
_space_group_IT_number 12
loop_
_space_group_symop_operation_xyz
'x,y,z'
'-x,-y,-z'
'-x,y,-z'
'x,-y,z'
'x+1/2,y+1/2,z'
'-x+1/2,-y+1/2,-z'
'-x+1/2,y+1/2,-z'
'x+1/2,-y+1/2,z'
loop_
_atom_site_label
_atom_site_type_symbol
_atom_site_fract_x
_atom_site_fract_y
_atom_site_fract_z
Na1 Na 0.0000 0.2473 0.0000
La1 La 0.0000 0.2466 0.5000
Mg1 Mg 0.2481 0.5000 0.2430
W1 W 0.2480 0.0000 0.2383
O1 O 0.0090 0.0000 0.2052
O2 O 0.0093 0.5000 0.6875
O3 O 0.1928 0.0000 0.4944
O4 O 0.1964 0.5000 0.9892
O5 O 0.2487 0.2577 0.7284
```

Principal peaks in the range 2θ from 15° to 90°, low angle first:
| 2θ (°) | d [Å] | Rel. int. | h k l |
| --- | --- | --- | --- |
| 19.4 | 4.581 | 76 | 1 1 1 |
| 25.0 | 3.561 | 14 | 0 2 1 |
| 31.8 | 2.815 | 47 | 0 2 2 |
| 32.0 | 2.801 | 100 | 2 0 -2 |
| 37.5 | 2.398 | 27 | 1 1 -3 |
| 45.6 | 1.990 | 32 | 0 4 0 |
| 46.1 | 1.971 | 15 | 4 0 0 |
| 56.7 | 1.622 | 42 | 2 2 -4 |
| 57.1 | 1.614 | 21 | 4 2 2 |
| 66.8 | 1.400 | 17 | 4 4 0 |